For In3Au7, a GGA-PBE-relaxed structure gives the simulated powder diffractogram in this record (Cu Kα, 1.54184 Å).
Lines closer than 0.1° are merged.

The 10 most intense peaks (2θ = 15–90°), low angle first:
2theta, Rel. int.
21.9, 10
28.5, 10
36.3, 18
37.6, 16
37.9, 100
38.1, 95
39.1, 18
43.2, 13
54.8, 12
68.7, 9

Atomic structure:
Cell lengths 12.509, 12.509, 8.750 Å; angles 90.00, 90.00, 120.00 degrees
Fractional positions:
In: 0.021 0.834 0.249
In: 0.141 0.643 0.041
In: 0.166 0.187 0.249
In: 0.166 0.475 0.539
In: 0.187 0.021 0.751
In: 0.309 0.834 0.539
In: 0.357 0.498 0.041
In: 0.475 0.309 0.461
In: 0.498 0.141 0.959
In: 0.502 0.859 0.041
In: 0.525 0.691 0.539
In: 0.643 0.502 0.959
In: 0.691 0.166 0.461
In: 0.813 0.979 0.249
In: 0.834 0.525 0.461
In: 0.834 0.813 0.751
In: 0.859 0.357 0.959
In: 0.979 0.166 0.751
Au: 0.000 0.000 0.000
Au: 0.000 0.000 0.500
Au: 0.007 0.777 0.574
Au: 0.037 0.794 0.915
Au: 0.086 0.645 0.366
Au: 0.107 0.422 0.874
Au: 0.112 0.642 0.704
Au: 0.137 0.439 0.209
Au: 0.206 0.243 0.915
Au: 0.223 0.230 0.574
Au: 0.230 0.007 0.426
Au: 0.243 0.037 0.085
Au: 0.302 0.863 0.209
Au: 0.315 0.893 0.874
Au: 0.333 0.667 0.325
Au: 0.333 0.667 0.834
Au: 0.355 0.442 0.366
Au: 0.358 0.471 0.704
Au: 0.422 0.315 0.126
Au: 0.439 0.302 0.791
Au: 0.442 0.086 0.634
Au: 0.471 0.112 0.296
Au: 0.529 0.888 0.704
Au: 0.558 0.914 0.366
Au: 0.561 0.698 0.209
Au: 0.578 0.685 0.874
Au: 0.642 0.529 0.296
Au: 0.645 0.558 0.634
Au: 0.667 0.333 0.166
Au: 0.667 0.333 0.675
Au: 0.685 0.107 0.126
Au: 0.698 0.137 0.791
Au: 0.757 0.963 0.915
Au: 0.770 0.993 0.574
Au: 0.777 0.770 0.426
Au: 0.794 0.757 0.085
Au: 0.863 0.561 0.791
Au: 0.888 0.358 0.296
Au: 0.893 0.578 0.126
Au: 0.914 0.355 0.634
Au: 0.963 0.206 0.085
Au: 0.993 0.223 0.426

=====

For Li2FeS2, a GGA-PBE-relaxed structure gives the simulated powder diffractogram in this record (Cu Kα, 1.54184 Å).
Lines closer than 0.1° are merged.

The 10 most intense peaks (2θ = 15–90°), low angle first:
2theta, Rel. int.
17.5, 100
17.7, 52
29.3, 47
30.8, 21
39.7, 27
47.3, 29
47.5, 12
47.7, 25
51.2, 23
60.4, 13

Atomic structure:
Cell lengths 6.342, 6.342, 6.342 Å; angles 124.90, 75.44, 132.78 degrees
Fractional positions:
Li: 0.139 0.150 0.289
Li: 0.361 0.650 0.011
Li: 0.639 0.350 0.989
Li: 0.861 0.850 0.711
Fe: 0.250 0.750 0.500
Fe: 0.750 0.250 0.500
S: 0.116 0.725 0.842
S: 0.384 0.225 0.609
S: 0.616 0.775 0.391
S: 0.884 0.275 0.158

=====

For MnGa2Se4, a GGA-PBE-relaxed structure gives the simulated powder diffractogram in this record (Cu Kα, 1.54184 Å).
Lines closer than 0.1° are merged.

The 10 most intense peaks (2θ = 15–90°), low angle first:
2theta, Rel. int.
27.3, 100
36.9, 5
45.0, 47
46.1, 21
52.3, 16
54.5, 27
67.3, 6
72.3, 11
82.1, 8
84.6, 13

Atomic structure:
Cell lengths 7.054, 7.054, 7.054 Å; angles 133.55, 133.55, 67.80 degrees
Fractional positions:
Mn: 0.000 0.000 0.000
Ga: 0.250 0.750 0.500
Ga: 0.750 0.250 0.500
Se: 0.142 0.142 0.531
Se: 0.389 0.858 0.000
Se: 0.611 0.611 0.469
Se: 0.858 0.389 0.000

=====

For Os3Pb3N5, a GGA-PBE-relaxed structure gives the simulated powder diffractogram in this record (Cu Kα, 1.54184 Å).
Lines closer than 0.1° are merged.

The 10 most intense peaks (2θ = 15–90°), low angle first:
2theta, Rel. int.
28.1, 81
28.5, 36
31.1, 100
33.1, 49
34.1, 51
34.9, 17
37.6, 13
39.6, 20
51.9, 16
52.1, 16

Atomic structure:
Cell lengths 6.226, 7.594, 8.438 Å; angles 78.78, 82.46, 87.00 degrees
Fractional positions:
Os: 0.080 0.429 0.301
Os: 0.092 0.204 0.963
Os: 0.344 0.544 0.607
Os: 0.656 0.456 0.393
Os: 0.908 0.796 0.037
Os: 0.920 0.571 0.699
Pb: 0.218 0.013 0.599
Pb: 0.350 0.911 0.184
Pb: 0.368 0.679 0.916
Pb: 0.632 0.321 0.084
Pb: 0.650 0.089 0.816
Pb: 0.782 0.987 0.401
N: 0.025 0.003 0.850
N: 0.105 0.725 0.539
N: 0.144 0.343 0.114
N: 0.147 0.384 0.768
N: 0.345 0.455 0.390
N: 0.655 0.545 0.610
N: 0.853 0.616 0.232
N: 0.856 0.657 0.886
N: 0.895 0.275 0.461
N: 0.975 0.997 0.150

=====

For ZrP2H6O10, a GGA-PBE-relaxed structure gives the simulated powder diffractogram in this record (Cu Kα, 1.54184 Å).
Lines closer than 0.1° are merged.

The 10 most intense peaks (2θ = 15–90°), low angle first:
2theta, Rel. int.
15.0, 100
19.0, 29
20.0, 36
23.6, 47
24.9, 52
26.6, 49
27.6, 19
28.3, 16
32.3, 26
32.9, 27

Atomic structure:
Cell lengths 5.466, 6.697, 12.540 Å; angles 90.00, 99.41, 90.00 degrees
Fractional positions:
Zr: 0.198 0.000 0.373
Zr: 0.802 0.500 0.627
P: 0.241 0.500 0.441
P: 0.354 0.578 0.805
P: 0.646 0.078 0.195
P: 0.759 0.000 0.559
H: 0.001 0.659 0.023
H: 0.048 0.098 0.101
H: 0.144 0.413 0.101
H: 0.154 0.561 0.203
H: 0.398 0.034 0.047
H: 0.498 0.893 0.825
H: 0.502 0.393 0.175
H: 0.602 0.534 0.953
H: 0.846 0.061 0.797
H: 0.856 0.913 0.899
H: 0.952 0.598 0.899
H: 0.999 0.159 0.977
O: 0.067 0.502 0.527
O: 0.086 0.509 0.771
O: 0.121 0.169 0.044
O: 0.193 0.684 0.367
O: 0.195 0.313 0.370
O: 0.217 0.539 0.135
O: 0.341 0.813 0.809
O: 0.431 0.488 0.922
O: 0.460 0.010 0.266
O: 0.487 0.002 0.500
O: 0.513 0.502 0.500
O: 0.540 0.510 0.734
O: 0.569 0.988 0.078
O: 0.659 0.313 0.191
O: 0.783 0.039 0.865
O: 0.805 0.813 0.630
O: 0.807 0.184 0.633
O: 0.879 0.669 0.956
O: 0.914 0.009 0.229
O: 0.933 0.002 0.473

=====

For Mg16Al12In, a GGA-PBE-relaxed structure gives the simulated powder diffractogram in this record (Cu Kα, 1.54184 Å).
Lines closer than 0.1° are merged.

The 10 most intense peaks (2θ = 15–90°), low angle first:
2theta, Rel. int.
20.6, 11
31.7, 16
36.1, 100
40.0, 22
41.9, 15
43.7, 8
47.1, 8
62.1, 13
64.8, 27
76.5, 7

Atomic structure:
Cell lengths 9.151, 9.151, 9.151 Å; angles 109.47, 109.47, 109.47 degrees
Fractional positions:
Mg: 0.000 0.000 0.345
Mg: 0.000 0.315 0.601
Mg: 0.000 0.345 0.000
Mg: 0.000 0.601 0.315
Mg: 0.286 0.685 0.685
Mg: 0.315 0.000 0.601
Mg: 0.315 0.601 0.000
Mg: 0.345 0.000 0.000
Mg: 0.399 0.399 0.714
Mg: 0.399 0.714 0.399
Mg: 0.601 0.000 0.315
Mg: 0.601 0.315 0.000
Mg: 0.655 0.655 0.655
Mg: 0.685 0.286 0.685
Mg: 0.685 0.685 0.286
Mg: 0.714 0.399 0.399
Al: 0.000 0.630 0.813
Al: 0.000 0.813 0.630
Al: 0.183 0.370 0.370
Al: 0.187 0.187 0.817
Al: 0.187 0.817 0.187
Al: 0.370 0.183 0.370
Al: 0.370 0.370 0.183
Al: 0.630 0.000 0.813
Al: 0.630 0.813 0.000
Al: 0.813 0.000 0.630
Al: 0.813 0.630 0.000
Al: 0.817 0.187 0.187
In: 0.000 0.000 0.000

=====

For Zr6CoTe2, a GGA-PBE-relaxed structure gives the simulated powder diffractogram in this record (Cu Kα, 1.54184 Å).
Lines closer than 0.1° are merged.

The 10 most intense peaks (2θ = 15–90°), low angle first:
2theta, Rel. int.
33.6, 100
35.3, 68
36.3, 86
40.2, 40
43.3, 42
49.8, 22
62.5, 25
65.6, 30
65.9, 18
68.9, 19

Atomic structure:
Cell lengths 7.772, 7.772, 3.659 Å; angles 90.00, 90.00, 120.00 degrees
Fractional positions:
Zr: 0.000 0.237 0.000
Zr: 0.000 0.594 0.500
Zr: 0.237 0.000 0.000
Zr: 0.406 0.406 0.500
Zr: 0.594 0.000 0.500
Zr: 0.763 0.763 0.000
Co: 0.000 0.000 0.500
Te: 0.333 0.667 0.000
Te: 0.667 0.333 0.000